The following is a simulated XRD peak list of Nd12Y2Sc5. It was derived from a GGA-PBE-relaxed structure, using CuKα.
Peak positions follow from Bragg's law for the DFT cell and can differ from measured ones.

Largest 8 diffraction maxima, by intensity, 2θ = 15–90°:
d 2.843, 2θ 31.47, rel. 1000; d 2.884, 2θ 31.01, rel. 863; d 2.658, 2θ 33.72, rel. 396; d 2.812, 2θ 31.82, rel. 336; d 2.553, 2θ 35.16, rel. 300; d 2.277, 2θ 39.58, rel. 186; d 3.726, 2θ 23.88, rel. 174; d 4.623, 2θ 19.20, rel. 126

Structural model:
Cell lengths 9.248, 9.248, 8.432 Å; angles 90.27, 90.27, 59.00 degrees
Fractional coordinates of all 19 atoms:
Nd  0.051  0.051  0.218
Nd  0.109  0.524  0.725
Nd  0.112  0.670  0.120
Nd  0.330  0.888  0.880
Nd  0.334  0.334  0.367
Nd  0.476  0.891  0.275
Nd  0.524  0.109  0.725
Nd  0.666  0.666  0.633
Nd  0.670  0.112  0.120
Nd  0.888  0.330  0.880
Nd  0.891  0.476  0.275
Nd  0.949  0.949  0.782
Y  0.284  0.716  0.500
Y  0.716  0.284  0.500
Sc  0.145  0.145  0.563
Sc  0.250  0.250  0.040
Sc  0.500  0.500  0.000
Sc  0.750  0.750  0.960
Sc  0.855  0.855  0.437


The following is a simulated XRD peak list of BaCaSi2. It was derived from a GGA-PBE-relaxed structure, using CuKα.
Peak positions follow from Bragg's law for the DFT cell and can differ from measured ones.

Largest 8 diffraction maxima, by intensity, 2θ = 15–90°:
d 2.936, 2θ 30.45, rel. 1000; d 2.128, 2θ 42.49, rel. 182; d 4.534, 2θ 19.58, rel. 176; d 2.424, 2θ 37.09, rel. 169; d 3.537, 2θ 25.18, rel. 152; d 1.599, 2θ 57.65, rel. 145; d 2.513, 2θ 35.73, rel. 134; d 3.423, 2θ 26.03, rel. 132

Structural model:
Cell lengths 7.359, 4.848, 12.821 Å; angles 90.00, 90.00, 90.00 degrees
Fractional coordinates of all 16 atoms:
Ba  0.155  0.250  0.167
Ba  0.345  0.750  0.667
Ba  0.655  0.250  0.333
Ba  0.845  0.750  0.833
Ca  0.169  0.250  0.450
Ca  0.331  0.750  0.950
Ca  0.669  0.250  0.050
Ca  0.831  0.750  0.550
Si  0.009  0.250  0.668
Si  0.176  0.250  0.837
Si  0.324  0.750  0.337
Si  0.491  0.750  0.168
Si  0.509  0.250  0.832
Si  0.676  0.250  0.663
Si  0.824  0.750  0.163
Si  0.991  0.750  0.332